(1)
This entry pairs a crystal structure of Nb6CrGa3 with its computed powder diffraction line list. Radiation: copper Kα. Structure: a cell relaxed with PBE.
Kinematic intensities with the Lorentz-polarization factor, no thermal factor.

Top 10 peaks for 2θ from 15° to 90°, by angle:
d (Å)  intensity  h k l
2.541  33  1 2 1
2.520  36  1 2 -3
2.487  58  1 1 2
2.459  62  1 1 -4
2.385  49  0 2 3
2.316  32  2 1 -1
2.299  65  0 0 4
2.263  100  1 3 -1
2.191  25  2 0 -4
1.615  29  0 4 3

Structural model:
```
data_Nb6CrGa3
_space_group_name_H-M_alt 'P 1 21/c 1'
_space_group_IT_number 14
_space_group_name_Hall '-P 2ybc'
_cell_length_a 5.024
_cell_length_b 7.603
_cell_length_c 10.408
_cell_angle_alpha 90.00
_cell_angle_beta 118.02
_cell_angle_gamma 90.00
loop_
_atom_site_label
_atom_site_fract_x
_atom_site_fract_y
_atom_site_fract_z
Nb1 0.006 0.163 0.438
Nb2 0.369 0.684 0.432
Nb3 0.407 0.057 0.259
Cr1 0.500 0.000 0.500
Ga1 0.000 0.000 0.000
Ga2 0.125 0.119 0.755
```


(2)
This entry pairs a crystal structure of NbCrGa with its computed powder diffraction line list. Radiation: copper Kα. Structure: a cell relaxed with PBE.
Kinematic intensities with the Lorentz-polarization factor, no thermal factor.

Top 10 peaks for 2θ from 15° to 90°, by angle:
d (Å)  intensity  h k l
2.559  24  0 1 3
2.285  22  3 0 2
2.271  54  3 1 1
2.153  100  2 1 3
2.119  29  2 2 0
2.105  47  1 2 2
1.395  17  2 0 6
1.367  15  2 3 3
1.288  18  5 2 2
1.280  17  0 2 6

Structural model:
```
data_NbCrGa
_space_group_name_H-M_alt 'A m m 2'
_space_group_IT_number 38
_space_group_name_Hall 'A 2 -2'
_cell_length_a 7.977
_cell_length_b 5.002
_cell_length_c 8.935
_cell_angle_alpha 90.00
_cell_angle_beta 90.00
_cell_angle_gamma 90.00
loop_
_atom_site_label
_atom_site_fract_x
_atom_site_fract_y
_atom_site_fract_z
Nb1 0.184 0.000 0.000
Nb2 0.302 0.000 0.665
Cr1 0.000 0.249 0.752
Cr2 0.235 0.000 0.318
Ga1 0.000 0.000 0.508
Ga2 0.500 0.000 0.158
Ga3 0.500 0.248 0.911
```


(3)
This entry pairs a crystal structure of CrGaNi14 with its computed powder diffraction line list. Radiation: copper Kα. Structure: a cell relaxed with PBE.
Kinematic intensities with the Lorentz-polarization factor, no thermal factor.

Top 5 peaks for 2θ from 15° to 90°, by angle:
d (Å)  intensity  h k l
2.042  100  2 0 2
1.773  31  2 2 0
1.761  15  0 0 4
1.253  9  4 0 0
1.249  18  2 2 4

Structural model:
```
data_CrGaNi14
_space_group_name_H-M_alt 'P 4/m m m'
_space_group_IT_number 123
_space_group_name_Hall '-P 4 2'
_cell_length_a 5.014
_cell_length_b 5.014
_cell_length_c 7.044
_cell_angle_alpha 90.00
_cell_angle_beta 90.00
_cell_angle_gamma 90.00
loop_
_atom_site_label
_atom_site_fract_x
_atom_site_fract_y
_atom_site_fract_z
Cr1 0.000 0.000 0.000
Ga1 0.500 0.500 0.000
Ni1 0.000 0.000 0.500
Ni2 0.000 0.500 0.000
Ni3 0.000 0.500 0.500
Ni4 0.248 0.248 0.252
Ni5 0.500 0.500 0.500
```


(4)
This entry pairs a crystal structure of CrGa3Ni2S8 with its computed powder diffraction line list. Radiation: copper Kα. Structure: a cell relaxed with PBE.
Kinematic intensities with the Lorentz-polarization factor, no thermal factor.

Top 10 peaks for 2θ from 15° to 90°, by angle:
d (Å)  intensity  h k l
4.164  94  6 0 0
3.075  41  4 0 -2
3.048  83  1 1 1
2.827  51  6 0 -2
2.808  96  3 1 1
2.216  19  7 1 1
1.958  100  12 0 -2
1.827  64  3 1 -3
1.808  34  0 2 0
1.734  32  13 1 -1

Structural model:
```
data_CrGa3Ni2S8
_space_group_name_H-M_alt 'C 1 m 1'
_space_group_IT_number 8
_space_group_name_Hall 'C -2y'
_cell_length_a 25.758
_cell_length_b 3.615
_cell_length_c 6.350
_cell_angle_alpha 90.00
_cell_angle_beta 104.10
_cell_angle_gamma 90.00
loop_
_atom_site_label
_atom_site_fract_x
_atom_site_fract_y
_atom_site_fract_z
Cr1 0.000 0.000 0.000
Ga1 0.000 0.500 0.506
Ga2 0.271 0.500 0.110
Ga3 0.272 0.000 0.613
Ni1 0.135 0.000 0.814
Ni2 0.136 0.500 0.312
S1 0.089 0.000 0.103
S2 0.091 0.500 0.599
S3 0.180 0.500 0.024
S4 0.182 0.000 0.527
S5 0.313 0.000 0.319
S6 0.314 0.500 0.823
S7 0.462 0.000 0.798
S8 0.462 0.500 0.297
```